No. 1
Diffraction record for CePmAs2. The powder diffraction line list is computed, not measured: it uses DFT lattice parameters and positions (PBE) and CuKα.

Crystal structure
Cell lengths 4.212, 4.212, 13.862 Å; angles 90.00, 90.00, 120.00 degrees
Positions (direct):
Ce1 0.000 0.000 0.000
Ce2 0.000 0.000 0.500
Pm1 0.333 0.667 0.250
Pm2 0.667 0.333 0.750
As1 0.333 0.667 0.621
As2 0.333 0.667 0.879
As3 0.667 0.333 0.121
As4 0.667 0.333 0.379

The 10 most intense peaks (2θ from 5° to 70°), sorted by position:
2θ = 27.64°, 3.228 Å, rel. 100
2θ = 31.24°, 2.863 Å, rel. 88
2θ = 35.74°, 2.512 Å, rel. 24
2θ = 40.89°, 2.207 Å, rel. 35
2θ = 42.95°, 2.106 Å, rel. 68
2θ = 46.53°, 1.952 Å, rel. 28
2θ = 51.84°, 1.764 Å, rel. 18
2θ = 52.84°, 1.733 Å, rel. 12
2θ = 54.06°, 1.696 Å, rel. 18
2θ = 69.53°, 1.352 Å, rel. 14

=====

No. 2
Diffraction record for CePm3Th2As6. The powder diffraction line list is computed, not measured: it uses DFT lattice parameters and positions (PBE) and CuKα.

Crystal structure
Cell lengths 9.485, 9.485, 8.473 Å; angles 102.83, 102.83, 25.87 degrees
Positions (direct):
Ce1 0.000 0.000 0.000
Pm1 0.000 0.000 0.500
Pm2 0.334 0.334 0.167
Pm3 0.666 0.666 0.833
Th1 0.334 0.334 0.668
Th2 0.666 0.666 0.332
As1 0.166 0.166 0.084
As2 0.167 0.167 0.583
As3 0.500 0.500 0.248
As4 0.500 0.500 0.752
As5 0.833 0.833 0.417
As6 0.834 0.834 0.916

The 10 most intense peaks (2θ from 5° to 70°), sorted by position:
2θ = 12.80°, 6.918 Å, rel. 2
2θ = 25.72°, 3.464 Å, rel. 27
2θ = 29.79°, 3.000 Å, rel. 100
2θ = 42.62°, 2.122 Å, rel. 63
2θ = 42.69°, 2.118 Å, rel. 13
2θ = 50.45°, 1.809 Å, rel. 14
2θ = 52.84°, 1.733 Å, rel. 20
2θ = 52.94°, 1.729 Å, rel. 7
2θ = 61.87°, 1.500 Å, rel. 13
2θ = 68.09°, 1.377 Å, rel. 4

=====

No. 3
Diffraction record for CePm2Tm3As6. The powder diffraction line list is computed, not measured: it uses DFT lattice parameters and positions (PBE) and CuKα.

Crystal structure
Cell lengths 9.259, 9.259, 8.289 Å; angles 102.77, 102.77, 25.92 degrees
Positions (direct):
Ce1 0.000 0.000 0.000
Pm1 0.333 0.333 0.665
Pm2 0.667 0.667 0.335
Tm1 0.000 0.000 0.500
Tm2 0.332 0.332 0.167
Tm3 0.668 0.668 0.833
As1 0.164 0.164 0.590
As2 0.168 0.168 0.076
As3 0.498 0.498 0.253
As4 0.502 0.502 0.747
As5 0.832 0.832 0.924
As6 0.836 0.836 0.410

The 10 most intense peaks (2θ from 5° to 70°), sorted by position:
2θ = 26.32°, 3.386 Å, rel. 22
2θ = 30.49°, 2.932 Å, rel. 100
2θ = 43.63°, 2.075 Å, rel. 50
2θ = 43.71°, 2.071 Å, rel. 25
2θ = 51.67°, 1.769 Å, rel. 8
2θ = 51.77°, 1.766 Å, rel. 3
2θ = 54.14°, 1.694 Å, rel. 20
2θ = 54.30°, 1.689 Å, rel. 6
2θ = 63.41°, 1.467 Å, rel. 8
2θ = 63.52°, 1.465 Å, rel. 4

=====

No. 4
Diffraction record for CePmY2As4. The powder diffraction line list is computed, not measured: it uses DFT lattice parameters and positions (PBE) and CuKα.

Crystal structure
Cell lengths 7.222, 4.178, 7.237 Å; angles 90.00, 109.45, 90.00 degrees
Positions (direct):
Ce1 0.000 0.000 0.000
Pm1 0.000 0.500 0.500
Y1 0.500 0.000 0.500
Y2 0.500 0.500 0.000
As1 0.254 0.500 0.250
As2 0.255 0.000 0.754
As3 0.745 0.000 0.246
As4 0.746 0.500 0.750

The 10 most intense peaks (2θ from 5° to 70°), sorted by position:
2θ = 13.00°, 6.810 Å, rel. 3
2θ = 24.99°, 3.563 Å, rel. 3
2θ = 26.14°, 3.409 Å, rel. 8
2θ = 30.27°, 2.953 Å, rel. 100
2θ = 33.07°, 2.709 Å, rel. 2
2θ = 43.34°, 2.088 Å, rel. 74
2θ = 51.31°, 1.781 Å, rel. 3
2θ = 53.75°, 1.705 Å, rel. 19
2θ = 53.85°, 1.702 Å, rel. 6
2θ = 62.96°, 1.476 Å, rel. 12

=====

No. 5
Diffraction record for Ce2PmYAs4. The powder diffraction line list is computed, not measured: it uses DFT lattice parameters and positions (PBE) and CuKα.

Crystal structure
Cell lengths 7.266, 4.200, 7.277 Å; angles 90.00, 109.49, 90.00 degrees
Positions (direct):
Ce1 0.000 0.000 0.000
Ce2 0.000 0.500 0.500
Pm1 0.500 0.000 0.500
Y1 0.500 0.500 0.000
As1 0.249 0.500 0.246
As2 0.251 0.000 0.754
As3 0.749 0.000 0.246
As4 0.751 0.500 0.754

The 10 most intense peaks (2θ from 5° to 70°), sorted by position:
2θ = 12.91°, 6.856 Å, rel. 1
2θ = 14.92°, 5.938 Å, rel. 1
2θ = 24.87°, 3.581 Å, rel. 1
2θ = 25.99°, 3.428 Å, rel. 12
2θ = 30.10°, 2.969 Å, rel. 100
2θ = 43.09°, 2.099 Å, rel. 74
2θ = 51.01°, 1.790 Å, rel. 6
2θ = 53.46°, 1.714 Å, rel. 26
2θ = 62.57°, 1.484 Å, rel. 12
2θ = 68.92°, 1.362 Å, rel. 2

=====

No. 6
Diffraction record for Ce6PrAs8. The powder diffraction line list is computed, not measured: it uses DFT lattice parameters and positions (PBE) and CuKα.

Crystal structure
Cell lengths 8.409, 8.409, 8.409 Å; angles 60.00, 60.00, 60.00 degrees
Positions (direct):
Ce1 0.000 0.000 0.500
Ce2 0.000 0.500 0.000
Ce3 0.000 0.500 0.500
Ce4 0.500 0.000 0.000
Ce5 0.500 0.000 0.500
Ce6 0.500 0.500 0.000
Pr1 0.000 0.000 0.000
As1 0.250 0.250 0.250
As2 0.253 0.253 0.747
As3 0.253 0.747 0.253
As4 0.253 0.747 0.747
As5 0.747 0.253 0.253
As6 0.747 0.253 0.747
As7 0.747 0.747 0.253
As8 0.750 0.750 0.750

The 10 most intense peaks (2θ from 5° to 70°), sorted by position:
2θ = 12.89°, 6.866 Å, rel. 7
2θ = 14.90°, 5.946 Å, rel. 4
2θ = 21.13°, 4.204 Å, rel. 4
2θ = 24.83°, 3.585 Å, rel. 5
2θ = 25.96°, 3.433 Å, rel. 10
2θ = 30.06°, 2.973 Å, rel. 100
2θ = 43.03°, 2.102 Å, rel. 75
2θ = 50.94°, 1.793 Å, rel. 5
2θ = 53.38°, 1.716 Å, rel. 26
2θ = 62.48°, 1.486 Å, rel. 12